# 1
This entry pairs a crystal structure of Sr3Te4O11 with its simulated powder diffractogram. Radiation: λ = 1.5418 Å (Cu Kα). Structure: a crystal structure in the Materials Project, relaxed with GGA-PBE.
Kinematic intensities with the Lorentz-polarization factor, no thermal factor.

Top 12 peaks for 2θ = 15–90°, in order of rising 2θ:
19.1°, I 34, (1 0 -2)
27.2°, I 62, (2 1 -1)
27.6°, I 95, (1 0 2)
28.0°, I 86, (2 -2 0)
28.3°, I 80, (1 1 -3)
28.5°, I 100, (-1 2 2)
29.0°, I 83, (0 3 -1)
39.5°, I 29, (-3 1 3)
40.1°, I 35, (1 3 1)
40.9°, I 40, (1 -3 3)
49.9°, I 47, (0 1 -5)
51.2°, I 41, (2 -5 1)

Cell and atoms:
a b c (Å): 7.6980 9.4564 9.7409
angles (deg): 98.43 110.03 100.97
Fractional coordinates of all 36 atoms:
Sr 0.1387 0.4215 0.1774
Sr 0.2933 0.5395 0.6174
Sr 0.3099 0.0333 0.1198
Sr 0.6901 0.9667 0.8802
Sr 0.7067 0.4605 0.3826
Sr 0.8613 0.5785 0.8226
Te 0.0148 0.7508 0.2733
Te 0.0723 0.8564 0.7023
Te 0.4655 0.1992 0.5446
Te 0.4984 0.3076 0.9602
Te 0.5016 0.6924 0.0398
Te 0.5345 0.8008 0.4554
Te 0.9277 0.1436 0.2977
Te 0.9852 0.2492 0.7267
O 0.0098 0.9428 0.8604
O 0.0271 0.6459 0.0994
O 0.0481 0.6054 0.3866
O 0.1716 0.2841 0.4029
O 0.1902 0.7210 0.7998
O 0.2947 0.3570 0.8077
O 0.3049 0.8617 0.3356
O 0.3947 0.3160 0.1100
O 0.4319 0.1001 0.8947
O 0.4386 0.5949 0.3724
O 0.4754 0.8050 0.6264
O 0.5246 0.1950 0.3736
O 0.5614 0.4051 0.6276
O 0.5681 0.8999 0.1053
O 0.6053 0.6840 0.8900
O 0.6951 0.1383 0.6644
O 0.7053 0.6430 0.1923
O 0.8098 0.2790 0.2002
O 0.8284 0.7159 0.5971
O 0.9519 0.3946 0.6134
O 0.9729 0.3541 0.9006
O 0.9902 0.0572 0.1396

=====

# 2
This entry pairs a crystal structure of ScSnAu with its simulated powder diffractogram. Radiation: λ = 1.5418 Å (Cu Kα). Structure: a crystal structure in the Materials Project, relaxed with GGA-PBE.
Kinematic intensities with the Lorentz-polarization factor, no thermal factor.

Top 12 peaks for 2θ = 15–90°, in order of rising 2θ:
22.3°, I 40, (1 0 0)
24.7°, I 39, (0 0 2)
25.6°, I 56, (1 0 1)
33.6°, I 62, (1 0 2)
39.2°, I 100, (1 1 0)
44.1°, I 62, (1 0 3)
46.9°, I 44, (1 1 2)
52.5°, I 17, (2 0 2)
60.4°, I 25, (2 0 3)
69.5°, I 22, (1 0 5)
71.0°, I 18, (3 0 0)
74.4°, I 28, (2 1 3)

Cell and atoms:
a b c (Å): 4.5963 4.5963 7.1948
angles (deg): 90.00 90.00 120.00
Fractional coordinates of all 6 atoms:
Sc 0.0000 0.0000 0.0000
Sc 0.0000 0.0000 0.5000
Sn 0.3333 0.6667 0.2311
Sn 0.6667 0.3333 0.7311
Au 0.3333 0.6667 0.8394
Au 0.6667 0.3333 0.3394